1.
Theoretical PXRD pattern of Rb4Nb2Si8O23 for Cu Kα (λ = 1.5418 Å), from a DFT-relaxed cell (PBE, OQMD).
Lines closer than 0.1° are merged.

Peak list (10 most intense, 2θ from 10° to 80°, most intense first)
- 25.00°, intensity 100
- 27.33°, intensity 87
- 30.78°, intensity 49
- 31.17°, intensity 48
- 35.81°, intensity 39
- 29.65°, intensity 32
- 27.66°, intensity 28
- 24.39°, intensity 20
- 27.92°, intensity 20
- 33.57°, intensity 18

Structural model:
```
Rb4Nb2Si8O23
1.0
6.881 0.000 0.000
2.378 7.347 0.000
0.167 2.702 10.739
Rb Nb Si O
4 2 8 23
Direct
0.182 0.281 0.355
0.211 0.219 0.010
0.789 0.781 0.990
0.818 0.719 0.645
0.283 0.740 0.819
0.717 0.260 0.181
0.002 0.196 0.698
0.329 0.672 0.129
0.341 0.703 0.503
0.451 0.132 0.713
0.549 0.868 0.287
0.659 0.297 0.497
0.671 0.328 0.871
0.998 0.804 0.302
0.037 0.977 0.755
0.120 0.681 0.207
0.120 0.721 0.440
0.123 0.592 0.856
0.211 0.254 0.671
0.270 0.802 0.989
0.316 0.732 0.640
0.426 0.864 0.416
0.441 0.453 0.136
0.471 0.756 0.200
0.482 0.921 0.786
0.500 0.500 0.500
0.518 0.079 0.214
0.529 0.244 0.800
0.559 0.547 0.864
0.574 0.136 0.584
0.684 0.268 0.360
0.730 0.198 0.011
0.789 0.746 0.329
0.877 0.408 0.144
0.880 0.279 0.560
0.880 0.319 0.793
0.963 0.023 0.245
```

2.
Theoretical PXRD pattern of Rb2TmNbO4 for Cu Kα (λ = 1.5418 Å), from a DFT-relaxed cell (PBE, OQMD).
Lines closer than 0.1° are merged.

Peak list (10 most intense, 2θ from 10° to 80°, most intense first)
- 34.21°, intensity 100
- 27.80°, intensity 40
- 53.40°, intensity 35
- 37.72°, intensity 32
- 55.41°, intensity 27
- 63.11°, intensity 24
- 31.93°, intensity 21
- 13.80°, intensity 20
- 42.23°, intensity 20
- 66.76°, intensity 19

Structural model:
```
Rb2TmNbO4
1.0
3.316 0.000 0.000
-1.658 2.872 0.000
0.000 0.000 12.836
Rb Tm Nb O
2 1 1 4
Direct
0.333 0.667 0.246
0.667 0.333 0.754
0.000 0.000 0.500
0.000 0.000 0.000
0.333 0.667 0.591
0.333 0.667 0.914
0.667 0.333 0.086
0.667 0.333 0.409
```

3.
Theoretical PXRD pattern of Rb2ZrNbO6 for Cu Kα (λ = 1.5418 Å), from a DFT-relaxed cell (PBE, OQMD).
Lines closer than 0.1° are merged.

Peak list (8 most intense, 2θ from 10° to 80°, most intense first)
- 30.51°, intensity 100
- 54.22°, intensity 39
- 43.69°, intensity 35
- 63.50°, intensity 21
- 72.08°, intensity 17
- 21.44°, intensity 3
- 37.60°, intensity 2
- 49.17°, intensity 1

Structural model:
```
Rb2ZrNbO6
1.0
0.000 4.144 4.144
4.144 0.000 4.144
4.144 4.144 0.000
Rb Zr Nb O
2 1 1 6
Direct
0.250 0.250 0.250
0.750 0.750 0.750
0.000 0.000 0.000
0.500 0.500 0.500
0.256 0.256 0.744
0.256 0.744 0.256
0.256 0.744 0.744
0.744 0.256 0.256
0.744 0.256 0.744
0.744 0.744 0.256
```

Please write out number 3 again, unchanged.
Theoretical PXRD pattern of Rb2ZrNbO6 for Cu Kα (λ = 1.5418 Å), from a DFT-relaxed cell (PBE, OQMD).
Lines closer than 0.1° are merged.

Peak list (8 most intense, 2θ from 10° to 80°, most intense first)
- 30.51°, intensity 100
- 54.22°, intensity 39
- 43.69°, intensity 35
- 63.50°, intensity 21
- 72.08°, intensity 17
- 21.44°, intensity 3
- 37.60°, intensity 2
- 49.17°, intensity 1

Structural model:
```
Rb2ZrNbO6
1.0
0.000 4.144 4.144
4.144 0.000 4.144
4.144 4.144 0.000
Rb Zr Nb O
2 1 1 6
Direct
0.250 0.250 0.250
0.750 0.750 0.750
0.000 0.000 0.000
0.500 0.500 0.500
0.256 0.256 0.744
0.256 0.744 0.256
0.256 0.744 0.744
0.744 0.256 0.256
0.744 0.256 0.744
0.744 0.744 0.256
```